The following is a simulated powder diffraction line list of K2Li2Ni. It was derived from a PBE-relaxed structure, using Cu Kα.

```
K2Li2Ni
1.0
7.045 0.000 0.000
0.000 7.045 0.000
0.000 0.000 5.850
K Li Ni
4 4 2
Direct
0.192 0.308 0.000
0.308 0.808 0.000
0.692 0.192 0.000
0.808 0.692 0.000
0.165 0.665 0.500
0.335 0.165 0.500
0.665 0.835 0.500
0.835 0.335 0.500
0.000 0.000 0.500
0.500 0.500 0.500
```

Top 8 peaks for 10 to 80 degrees two-theta, low angle first:
- d 4.982, intensity 31.6, hkl 1 1 0
- d 3.793, intensity 65.0, hkl 1 1 1
- d 3.018, intensity 100.0, hkl 2 0 1
- d 2.925, intensity 38.3, hkl 0 0 2
- d 2.774, intensity 36.2, hkl 2 1 1
- d 2.491, intensity 24.9, hkl 2 2 0
- d 2.228, intensity 25.5, hkl 3 1 0
- d 1.772, intensity 24.0, hkl 3 1 2